Structure and simulated XRD peak list of Cs3Rb5Cd (a crystal structure in Alexandria, relaxed with GGA-PBE; Cu Kα X-rays).

Crystal structure
```
data_Cs3Rb5Cd
_symmetry_space_group_name_H-M 'P 1'
_symmetry_Int_Tables_number 1
_symmetry_space_group_name_Hall 'P 1'
_cell_length_a 12.868
_cell_length_b 12.868
_cell_length_c 5.504
_cell_angle_alpha 90.00
_cell_angle_beta 90.00
_cell_angle_gamma 120.00
loop_
_atom_site_label
_atom_site_fract_x
_atom_site_fract_y
_atom_site_fract_z
_atom_site_occupancy
Cs1 0.000 0.367 0.000 1
Cs2 0.367 0.000 0.000 1
Cs3 0.633 0.633 0.000 1
Rb1 0.000 0.773 0.500 1
Rb2 0.227 0.227 0.500 1
Rb3 0.333 0.667 0.500 1
Rb4 0.667 0.333 0.500 1
Rb5 0.773 0.000 0.500 1
Cd1 0.000 0.000 0.000 1
```

Top 8 peaks for 10° ≤ 2θ ≤ 80°, by intensity:
2θ (°), I/Imax
21.24, 100
23.96, 60
22.71, 49
26.65, 47
21.09, 38
40.53, 32
38.84, 29
40.81, 29